Starting from the GGA-PBE geometry in Alexandria, the powder X-ray diffraction pattern of Li3TiPCO7 was computed for Cu Kα X-rays.
Neutral-atom scattering factors, no anomalous dispersion.

Largest 10 diffraction maxima, most intense first, 10 to 90 degrees two-theta:
d_spacing	I_rel	(hkl)
3.292	100	0 2 0
8.568	64	0 0 1
3.460	54	1 0 -2
4.077	54	1 0 1
2.459	32	2 0 -1
4.532	28	1 0 -1
2.216	22	1 1 3
1.646	15	0 4 0
2.856	14	0 0 3
5.221	13	0 1 1

Atomic structure:
Cell lengths 4.988, 6.585, 8.632 Å; angles 90.00, 96.99, 90.00 degrees
Space group P2_1/m (No. 11)
Inequivalent atoms, fractional coordinates:
Li 0.194 0.250 0.107 x2
Li 0.271 0.518 0.720 x4
Ti 0.209 0.750 0.322 x2
P 0.269 0.250 0.409 x2
C 0.339 0.750 0.035 x2
O 0.088 0.750 0.062 x2
O 0.158 0.066 0.305 x4
O 0.163 0.250 0.569 x2
O 0.408 0.750 0.896 x2
O 0.416 0.750 0.570 x2
O 0.480 0.250 0.841 x2


Starting from the GGA-PBE geometry in Alexandria, the powder X-ray diffraction pattern of Na3V5Se10 was computed for Cu Kα X-rays.
Neutral-atom scattering factors, no anomalous dispersion.

Largest 10 diffraction maxima, most intense first, 10 to 90 degrees two-theta:
d_spacing	I_rel	(hkl)
7.311	100	0 1 -1
2.555	46	2 1 -2
2.546	45	1 -3 0
2.508	42	1 -1 3
2.982	28	1 0 2
1.783	27	-3 2 2
1.791	16	0 2 3
1.808	15	3 0 1
1.824	13	1 4 -2
1.772	12	1 2 -5

Atomic structure:
Cell lengths 6.227, 8.459, 9.010 Å; angles 114.67, 96.73, 103.06 degrees
Space group P1 (No. 1)
Inequivalent atoms, fractional coordinates:
Na 0.000 0.000 0.000 x1
Na 0.140 0.621 0.635 x1
Na 0.514 0.372 0.386 x1
V 0.013 0.295 0.808 x1
V 0.302 0.713 0.225 x1
V 0.481 0.088 0.598 x1
V 0.660 0.519 0.024 x1
V 0.826 0.886 0.396 x1
Se 0.023 0.624 0.940 x1
Se 0.102 0.990 0.680 x1
Se 0.203 0.008 0.328 x1
Se 0.294 0.384 0.088 x1
Se 0.407 0.403 0.731 x1
Se 0.513 0.770 0.506 x1
Se 0.612 0.831 0.116 x1
Se 0.682 0.181 0.898 x1
Se 0.819 0.219 0.515 x1
Se 0.920 0.589 0.296 x1


Starting from the GGA-PBE geometry in Alexandria, the powder X-ray diffraction pattern of NaHPb2 was computed for Cu Kα X-rays.
Neutral-atom scattering factors, no anomalous dispersion.

Largest 10 diffraction maxima, most intense first, 10 to 90 degrees two-theta:
d_spacing	I_rel	(hkl)
3.084	100	2 1 1
2.590	54	1 1 2
4.070	40	2 0 0
2.104	40	3 2 1
2.574	32	3 1 0
4.724	28	1 0 1
1.666	22	4 0 2
2.458	18	3 0 1
1.708	16	2 1 3
1.597	16	5 1 0

Atomic structure:
Cell lengths 8.141, 8.141, 5.800 Å; angles 90.00, 90.00, 90.00 degrees
Space group I-42d (No. 122)
Inequivalent atoms, fractional coordinates:
Na 0.000 0.000 0.000 x4
H 0.000 0.000 0.500 x4
Pb 0.143 0.750 0.625 x8